This entry pairs a crystal structure of La4Fe3NiO12 with its computed PXRD pattern. Radiation: λ = 1.5418 Å (Cu Kα). Structure: a structure optimized by DFT (PBE+U).

a = 5.5211 Å, b = 5.5261 Å, c = 7.7757 Å
α = 89.79°, β = 89.79°, γ = 89.90°
Element x y z (fractional)
La: 0.0308 0.0026 0.2496
La: 0.4649 0.5104 0.7517
La: 0.5351 0.4896 0.2483
La: 0.9692 0.9974 0.7504
Fe: 0.0000 0.5000 0.0000
Fe: 0.5000 0.0000 0.0000
Fe: 0.5000 0.0000 0.5000
Ni: 0.0000 0.5000 0.5000
O: 0.0116 0.4307 0.7573
O: 0.2177 0.7867 0.9621
O: 0.2264 0.7852 0.5418
O: 0.2874 0.2808 0.0401
O: 0.2878 0.2667 0.4629
O: 0.4878 0.9228 0.2518
O: 0.5122 0.0772 0.7482
O: 0.7122 0.7333 0.5371
O: 0.7126 0.7192 0.9599
O: 0.7736 0.2148 0.4582
O: 0.7823 0.2133 0.0379
O: 0.9884 0.5693 0.2427

Largest 10 diffraction maxima, low angle first, 10° ≤ 2θ ≤ 90°:
d (Å)	Rel. int.
3.906	17
2.763	98
2.753	100
2.255	14
2.248	14
1.953	37
1.944	20
1.593	26
1.591	25
1.381	14



This entry pairs a crystal structure of La7Fe2O16 with its computed PXRD pattern. Radiation: λ = 1.5418 Å (Cu Kα). Structure: a structure optimized by DFT (PBE+U).

a = 7.7304 Å, b = 7.7304 Å, c = 7.0371 Å
α = 106.72°, β = 106.72°, γ = 87.92°
Element x y z (fractional)
La: 0.0000 0.0000 0.0000
La: 0.0142 0.5146 0.0902
La: 0.3742 0.8728 0.5396
La: 0.3825 0.3825 0.5365
La: 0.5146 0.0142 0.0902
La: 0.5289 0.5289 0.0966
La: 0.8728 0.3742 0.5396
Fe: 0.2078 0.2078 0.8121
Fe: 0.6948 0.6948 0.8043
O: 0.1510 0.1510 0.5145
O: 0.1869 0.6018 0.4214
O: 0.2115 0.4511 0.8361
O: 0.2132 0.9666 0.8137
O: 0.2690 0.2690 0.1245
O: 0.3480 0.8149 0.1948
O: 0.4511 0.2115 0.8361
O: 0.4571 0.6937 0.8130
O: 0.6018 0.1869 0.4214
O: 0.6056 0.6056 0.4970
O: 0.6860 0.9365 0.8154
O: 0.6937 0.4571 0.8130
O: 0.7667 0.7667 0.1057
O: 0.8149 0.3480 0.1948
O: 0.9365 0.6860 0.8154
O: 0.9666 0.2132 0.8137

Largest 10 diffraction maxima, low angle first, 10° ≤ 2θ ≤ 90°:
d (Å)	Rel. int.
5.108	28
3.701	100
3.225	35
2.878	62
2.869	70
2.782	58
2.683	55
2.149	29
2.063	39
1.931	60



This entry pairs a crystal structure of La4FeO8 with its computed PXRD pattern. Radiation: λ = 1.5418 Å (Cu Kα). Structure: a structure optimized by DFT (PBE+U).

a = 7.0141 Å, b = 7.0141 Å, c = 5.3548 Å
α = 90.00°, β = 90.00°, γ = 135.34°
Element x y z (fractional)
La: 0.1363 0.8637 0.0000
La: 0.3626 0.6374 0.5000
La: 0.6374 0.3626 0.5000
La: 0.8637 0.1363 0.0000
Fe: 0.5000 0.5000 0.0000
O: 0.1873 0.8127 0.5000
O: 0.2550 0.2550 0.2395
O: 0.2550 0.2550 0.7605
O: 0.3254 0.6746 0.0000
O: 0.6746 0.3254 0.0000
O: 0.7450 0.7450 0.2395
O: 0.7450 0.7450 0.7605
O: 0.8127 0.1873 0.5000

Largest 10 diffraction maxima, low angle first, 10° ≤ 2θ ≤ 90°:
d (Å)	Rel. int.
3.627	64
3.244	28
2.845	100
2.677	37
2.665	37
2.139	23
2.065	27
2.059	27
1.889	38
1.664	22



This entry pairs a crystal structure of RbLaFeO3 with its computed PXRD pattern. Radiation: λ = 1.5418 Å (Cu Kα). Structure: a structure optimized by DFT (PBE+U).

a = 7.8071 Å, b = 3.8216 Å, c = 9.1480 Å
α = 90.00°, β = 107.68°, γ = 90.00°
Element x y z (fractional)
Rb: 0.1836 0.2500 0.1768
Rb: 0.8164 0.7500 0.8232
La: 0.3329 0.7500 0.8519
La: 0.6671 0.2500 0.1481
Fe: 0.0414 0.2500 0.6220
Fe: 0.9586 0.7500 0.3780
O: 0.0661 0.7500 0.6006
O: 0.1314 0.2500 0.8446
O: 0.4576 0.7500 0.1186
O: 0.5424 0.2500 0.8814
O: 0.8686 0.7500 0.1554
O: 0.9339 0.2500 0.3994

Largest 10 diffraction maxima, low angle first, 10° ≤ 2θ ≤ 90°:
d (Å)	Rel. int.
8.716	69
6.762	100
3.500	39
3.381	64
3.098	37
2.905	28
2.874	63
2.721	86
2.665	58
1.902	25



This entry pairs a crystal structure of LaFeReO6 with its computed PXRD pattern. Radiation: λ = 1.5418 Å (Cu Kα). Structure: a structure optimized by DFT (PBE+U).

a = 5.5146 Å, b = 5.6669 Å, c = 9.5237 Å
α = 90.00°, β = 124.76°, γ = 90.00°
Element x y z (fractional)
La: 0.0000 0.1841 0.0000
La: 0.0000 0.8159 0.5000
Fe: 0.7611 0.2583 0.2528
Fe: 0.7611 0.7417 0.7528
Re: 0.2651 0.2678 0.7533
Re: 0.2651 0.7322 0.2533
O: 0.0365 0.4646 0.2150
O: 0.0365 0.5354 0.7150
O: 0.0853 0.2452 0.5159
O: 0.0853 0.7548 0.0159
O: 0.4207 0.2659 0.9917
O: 0.4207 0.7341 0.4917
O: 0.5020 0.0092 0.2821
O: 0.5020 0.9908 0.7821
O: 0.5864 0.4449 0.7977
O: 0.5864 0.5551 0.2977
O: 0.9747 0.0487 0.7265
O: 0.9747 0.9513 0.2265

Largest 10 diffraction maxima, low angle first, 10° ≤ 2θ ≤ 90°:
d (Å)	Rel. int.
4.589	100
4.530	47
4.485	54
3.952	44
2.833	41
2.791	94
2.770	93
2.757	48
2.369	44
1.976	49



This entry pairs a crystal structure of LaFeS2O8 with its computed PXRD pattern. Radiation: λ = 1.5418 Å (Cu Kα). Structure: a structure optimized by DFT (PBE+U).

a = 5.2328 Å, b = 5.2328 Å, c = 7.2036 Å
α = 90.00°, β = 90.00°, γ = 120.00°
Element x y z (fractional)
La: 0.0000 0.0000 0.0000
Fe: 0.0000 0.0000 0.5000
S: 0.3333 0.6667 0.2251
S: 0.6667 0.3333 0.7749
O: 0.1771 0.3542 0.2893
O: 0.1771 0.8229 0.2893
O: 0.3333 0.6667 0.0167
O: 0.3542 0.1771 0.7107
O: 0.6458 0.8229 0.2893
O: 0.6667 0.3333 0.9833
O: 0.8229 0.1771 0.7107
O: 0.8229 0.6458 0.7107

Largest 10 diffraction maxima, low angle first, 10° ≤ 2θ ≤ 90°:
d (Å)	Rel. int.
7.204	36
4.532	94
3.836	66
2.820	100
2.616	68
2.459	27
2.117	39
1.918	51
1.547	28
1.483	22



This entry pairs a crystal structure of La3FeWS3O6 with its computed PXRD pattern. Radiation: λ = 1.5418 Å (Cu Kα). Structure: a structure optimized by DFT (PBE+U).

a = 9.4658 Å, b = 9.4658 Å, c = 5.6030 Å
α = 90.00°, β = 90.00°, γ = 120.00°
Element x y z (fractional)
La: 0.0882 0.4057 0.2500
La: 0.3176 0.9118 0.2500
La: 0.4057 0.3176 0.7500
La: 0.5943 0.6824 0.2500
La: 0.6824 0.0882 0.7500
La: 0.9118 0.5943 0.7500
Fe: 0.0000 0.0000 0.0000
Fe: 0.0000 0.0000 0.5000
W: 0.3333 0.6667 0.7500
W: 0.6667 0.3333 0.2500
S: 0.0439 0.2188 0.7500
S: 0.1749 0.9561 0.7500
S: 0.2188 0.1749 0.2500
S: 0.7812 0.8251 0.7500
S: 0.8251 0.0439 0.2500
S: 0.9561 0.7812 0.2500
O: 0.1603 0.6342 0.5241
O: 0.1603 0.6342 0.9759
O: 0.3658 0.5261 0.5241
O: 0.3658 0.5261 0.9759
O: 0.4739 0.8397 0.5241
O: 0.4739 0.8397 0.9759
O: 0.5261 0.1603 0.0241
O: 0.5261 0.1603 0.4759
O: 0.6342 0.4739 0.0241
O: 0.6342 0.4739 0.4759
O: 0.8397 0.3658 0.0241
O: 0.8397 0.3658 0.4759

Largest 10 diffraction maxima, low angle first, 10° ≤ 2θ ≤ 90°:
d (Å)	Rel. int.
3.616	59
3.308	60
3.098	30
2.802	25
2.733	25
2.711	100
2.078	40
1.789	22
1.783	31
1.600	21



This entry pairs a crystal structure of LaFeSe2O8 with its computed PXRD pattern. Radiation: λ = 1.5418 Å (Cu Kα). Structure: a structure optimized by DFT (PBE+U).

a = 5.6185 Å, b = 5.6185 Å, c = 6.9306 Å
α = 90.00°, β = 90.00°, γ = 120.00°
Element x y z (fractional)
La: 0.0000 0.0000 0.0000
Fe: 0.0000 0.0000 0.5000
Se: 0.3333 0.6667 0.2340
Se: 0.6667 0.3333 0.7660
O: 0.1573 0.3145 0.2903
O: 0.1573 0.8427 0.2903
O: 0.3145 0.1573 0.7097
O: 0.3333 0.6667 0.9914
O: 0.6667 0.3333 0.0086
O: 0.6855 0.8427 0.2903
O: 0.8427 0.1573 0.7097
O: 0.8427 0.6855 0.7097

Largest 10 diffraction maxima, low angle first, 10° ≤ 2θ ≤ 90°:
d (Å)	Rel. int.
6.931	21
4.866	44
3.982	100
2.823	80
2.809	90
2.603	21
1.991	48
1.778	22
1.624	52
1.475	24



This entry pairs a crystal structure of LaTaFeO6 with its computed PXRD pattern. Radiation: λ = 1.5418 Å (Cu Kα). Structure: a structure optimized by DFT (PBE+U).

a = 5.5373 Å, b = 5.6945 Å, c = 9.6498 Å
α = 90.00°, β = 125.00°, γ = 90.00°
Element x y z (fractional)
La: 0.0000 0.1953 0.0000
La: 0.0000 0.8047 0.5000
Ta: 0.7564 0.2757 0.2495
Ta: 0.7564 0.7243 0.7495
Fe: 0.2579 0.2606 0.7515
Fe: 0.2579 0.7394 0.2515
O: 0.0121 0.4577 0.2132
O: 0.0121 0.5423 0.7132
O: 0.0409 0.2330 0.4987
O: 0.0409 0.7670 0.9987
O: 0.4416 0.2587 0.0033
O: 0.4416 0.7413 0.5033
O: 0.5075 0.0243 0.2674
O: 0.5075 0.9757 0.7674
O: 0.5909 0.4571 0.7890
O: 0.5909 0.5429 0.2890
O: 0.9695 0.0143 0.7339
O: 0.9695 0.9857 0.2339

Largest 10 diffraction maxima, low angle first, 10° ≤ 2θ ≤ 90°:
d (Å)	Rel. int.
4.620	50
4.535	52
3.970	22
2.847	22
2.801	100
2.769	26
2.377	27
1.985	28
1.605	22
1.401	17



This entry pairs a crystal structure of LaVFeO6 with its computed PXRD pattern. Radiation: λ = 1.5418 Å (Cu Kα). Structure: a structure optimized by DFT (PBE+U).

a = 5.4056 Å, b = 5.5823 Å, c = 9.4040 Å
α = 90.00°, β = 125.05°, γ = 90.00°
Element x y z (fractional)
La: 0.0000 0.2018 0.0000
La: 0.0000 0.7982 0.5000
V: 0.2544 0.2788 0.7469
V: 0.2544 0.7212 0.2469
Fe: 0.7543 0.2566 0.2509
Fe: 0.7543 0.7434 0.7509
O: 0.0174 0.4839 0.2276
O: 0.0174 0.5161 0.7276
O: 0.0462 0.2405 0.5102
O: 0.0462 0.7595 0.0102
O: 0.4554 0.2495 0.9937
O: 0.4554 0.7505 0.4937
O: 0.5002 0.0120 0.2658
O: 0.5002 0.9880 0.7658
O: 0.5559 0.4607 0.7772
O: 0.5559 0.5393 0.2772
O: 0.9879 0.0182 0.7400
O: 0.9879 0.9818 0.2400

Largest 10 diffraction maxima, low angle first, 10° ≤ 2θ ≤ 90°:
d (Å)	Rel. int.
4.519	72
4.424	78
2.791	22
2.734	100
2.703	26
2.361	21
2.319	38
1.942	38
1.925	22
1.567	30



This entry pairs a crystal structure of LaVZnFeO6 with its computed PXRD pattern. Radiation: λ = 1.5418 Å (Cu Kα). Structure: a structure optimized by DFT (PBE+U).

a = 5.3930 Å, b = 5.6781 Å, c = 9.4153 Å
α = 90.00°, β = 124.74°, γ = 90.00°
Element x y z (fractional)
La: 0.0000 0.1999 0.0000
La: 0.0000 0.8001 0.5000
V: 0.7429 0.2783 0.2520
V: 0.7429 0.7217 0.7520
Zn: 0.5007 0.1491 0.4952
Zn: 0.5007 0.8509 0.9952
Fe: 0.2394 0.2696 0.7439
Fe: 0.2394 0.7304 0.2439
O: 0.0799 0.0526 0.2989
O: 0.0799 0.9474 0.7989
O: 0.3916 0.4467 0.2060
O: 0.3916 0.5533 0.7060
O: 0.4881 0.0534 0.6981
O: 0.4881 0.9466 0.1981
O: 0.5554 0.2414 0.0001
O: 0.5554 0.7586 0.5001
O: 0.8586 0.2263 0.4950
O: 0.8586 0.7737 0.9950
O: 0.9653 0.4695 0.7854
O: 0.9653 0.5305 0.2854

Largest 10 diffraction maxima, low angle first, 10° ≤ 2θ ≤ 90°:
d (Å)	Rel. int.
4.578	12
3.197	12
2.839	18
2.750	100
2.696	26
2.512	17
1.955	21
1.934	17
1.569	18
1.565	12